Simulated powder diffractogram
Compound: Ce4PrPt4
Radiation: Cu Ka
Structure: a PBE-relaxed structure

Largest 6 diffraction maxima, by angle, 2θ from 10° to 90°:
- hkl 3 1 0, 2θ 30.23, I = 100
- hkl 0 0 2, 2θ 30.95, I = 47
- hkl 2 4 0, 2θ 43.29, I = 38
- hkl 3 1 2, 2θ 43.81, I = 73
- hkl 2 4 2, 2θ 54.16, I = 40
- hkl 5 5 2, 2θ 79.78, I = 26

Structural model:
```
data_Ce4PrPt4
_cell_length_a 9.348
_cell_length_b 9.348
_cell_length_c 5.779
_cell_angle_alpha 90.00
_cell_angle_beta 90.00
_cell_angle_gamma 90.00
_symmetry_space_group_name_H-M 'I 4/m'
_symmetry_Int_Tables_number 87
_symmetry_space_group_name_Hall '-I 4'
loop_
_atom_site_label
_atom_site_type_symbol
_atom_site_fract_x
_atom_site_fract_y
_atom_site_fract_z
Ce1 Ce 0.104 0.691 0.000
Pr1 Pr 0.000 0.000 0.500
Pt1 Pt 0.105 0.698 0.500
```